Li4B4Sb2SO16: computed X-ray diffraction stick pattern (Cu Kα X-rays), based on a PBE-relaxed structure.
Peak positions follow from Bragg's law for the DFT cell and can differ from measured ones.

Most intense lines, 15° ≤ 2θ ≤ 90°, most intense first:
two_theta	Rel. int.	(hkl)
22.53	100	2 2 2
20.61	82	1 1 3
22.27	70	3 1 1
21.77	69	1 3 1
32.20	32	1 1 5
26.42	29	0 4 0
27.25	28	4 0 0
24.47	27	0 0 4
36.95	25	4 0 4
44.38	25	2 6 2
41.92	21	2 2 6
58.50	21	6 2 6

Crystal structure
Cell lengths 13.089, 13.493, 14.554 Å; angles 90.00, 90.00, 90.00 degrees
Space group Fddd (No. 70, origin choice 2)
Inequivalent atoms, fractional coordinates:
Li 0.078 0.375 0.375
Li 0.125 0.327 0.125
B 0.027 0.032 0.706
Sb 0.000 0.000 0.500
S 0.125 0.125 0.125
O 0.017 0.105 0.771
O 0.038 0.275 0.882
O 0.057 0.059 0.069
O 0.105 0.287 0.532

---

Li6Sn2B4SO16: computed X-ray diffraction stick pattern (Cu Kα X-rays), based on a PBE-relaxed structure.
Peak positions follow from Bragg's law for the DFT cell and can differ from measured ones.

Most intense lines, 15° ≤ 2θ ≤ 90°, most intense first:
two_theta	Rel. int.	(hkl)
21.78	100	3 1 1
22.76	39	2 2 2
26.34	35	4 0 0
37.59	34	4 4 0
44.39	33	6 2 2
39.38	33	5 1 3
34.43	31	5 1 1
51.88	21	5 5 3
59.10	20	5 5 5
59.54	19	6 6 2
67.84	16	8 4 4
48.00	15	7 1 1

Crystal structure
Cell lengths 13.537, 13.537, 13.537 Å; angles 90.00, 90.00, 90.00 degrees
Space group Fd-3 (No. 203, origin choice 2)
Inequivalent atoms, fractional coordinates:
Li 0.092 0.375 0.375
Sn 0.000 0.000 0.500
B 0.028 0.028 0.722
S 0.125 0.125 0.125
O 0.023 0.103 0.791
O 0.061 0.061 0.061